Diffraction record for CaPH5W2O4. The powder diffraction line list is computed, not measured: it uses a DFT-relaxed cell (PBE+U, Alexandria) and Cu Kα, 1.54184 Å.
Intensities are scaled so that the largest is 100.

Crystal structure
```
data_CaPH5W2O4
_chemical_formula_sum 'Ca4 P4 H20 W8 O16'
_cell_length_a 5.8870
_cell_length_b 21.7960
_cell_length_c 5.6608
_cell_angle_alpha 90.00
_cell_angle_beta 118.39
_cell_angle_gamma 90.00
_space_group_name_H-M_alt 'C 1 c 1'
_space_group_IT_number 9
_space_group_name_Hall 'C -2yc'
loop_
_atom_site_label
_atom_site_type_symbol
_atom_site_fract_x
_atom_site_fract_y
_atom_site_fract_z
_atom_site_occupancy
Ca1 Ca 0.0000 0.2006 0.0000 1
P1 P 0.0043 0.3138 0.4953 1
H1 H 0.2440 0.1090 0.7694 1
H2 H 0.2880 0.0549 0.2915 1
H3 H 0.3643 0.4665 0.8702 1
H4 H 0.4558 0.0679 0.6508 1
H5 H 0.4703 0.4331 0.3770 1
W1 W 0.2161 0.4608 0.4811 1
W2 W 0.2189 0.0007 0.5115 1
O1 O 0.0744 0.2677 0.3370 1
O2 O 0.2174 0.3635 0.6033 1
O3 O 0.2312 0.1546 0.7928 1
O4 O 0.4502 0.2161 0.2077 1
```

Peak list (10 most intense, 15° ≤ 2θ ≤ 90°, by angle)
h k l	2theta	I (rel.)
0 4 0	16.3	100
0 2 1	19.6	38
0 6 0	24.5	25
0 6 1	30.5	30
2 0 0	34.7	34
2 2 0	35.6	56
0 0 2	36.1	26
0 2 2	37.0	29
2 2 -2	37.2	40
2 4 -2	40.0	22